(1)
Starting from a DFT-relaxed cell (GGA-PBE, Alexandria), the powder XRD pattern of MnCr3Re2 was computed for copper Kα.
Neutral-atom scattering factors, no anomalous dispersion.

Main lines, in order of rising 2θ (5° ≤ 2θ ≤ 70°):
d (Å)  two_theta  Rel. int.
3.648  24.40  67
2.535  35.41  23
2.209  40.86  37
2.155  41.93  100
2.113  42.79  31
2.105  42.98  64
2.059  43.98  26
1.937  46.90  15
1.824  50.02  16
1.702  53.87  15

Structural model:
Unit cell a=6.622 b=6.622 c=6.622 alpha=141.04 beta=72.50 gamma=121.54
Positions (direct):
1 Mn 0.361 0.111 0.250
2 Mn 0.639 0.889 0.750
3 Cr 0.000 0.000 0.500
4 Cr 0.000 0.500 0.000
5 Cr 0.110 0.154 0.956
6 Cr 0.301 0.846 0.456
7 Cr 0.699 0.154 0.544
8 Cr 0.890 0.846 0.044
9 Re 0.183 0.564 0.619
10 Re 0.445 0.564 0.881
11 Re 0.555 0.436 0.119
12 Re 0.817 0.436 0.381

(2)
Starting from a DFT-relaxed cell (GGA-PBE, Alexandria), the powder XRD pattern of Y6Al7 was computed for copper Kα.
Neutral-atom scattering factors, no anomalous dispersion.

Main lines, in order of rising 2θ (5° ≤ 2θ ≤ 70°):
d (Å)  two_theta  Rel. int.
4.859  18.26  19
2.839  31.51  100
2.659  33.71  77
2.499  35.93  61
2.481  36.21  48
2.452  36.66  21
1.639  56.10  19
1.602  57.52  31
1.561  59.20  22
1.420  65.78  23

Structural model:
Unit cell a=11.033 b=11.033 c=11.033 alpha=29.83 beta=29.83 gamma=29.83
Positions (direct):
1 Y 0.050 0.050 0.050
2 Y 0.149 0.149 0.149
3 Y 0.335 0.335 0.335
4 Y 0.665 0.665 0.665
5 Y 0.851 0.851 0.851
6 Y 0.950 0.950 0.950
7 Al 0.090 0.598 0.598
8 Al 0.402 0.402 0.910
9 Al 0.402 0.910 0.402
10 Al 0.500 0.500 0.500
11 Al 0.598 0.090 0.598
12 Al 0.598 0.598 0.090
13 Al 0.910 0.402 0.402

(3)
Starting from a DFT-relaxed cell (GGA-PBE, Alexandria), the powder XRD pattern of CdSi3H12 was computed for copper Kα.
Neutral-atom scattering factors, no anomalous dispersion.

Main lines, in order of rising 2θ (5° ≤ 2θ ≤ 70°):
d (Å)  two_theta  Rel. int.
6.114  14.49  83
4.336  20.48  28
4.310  20.61  50
3.537  25.18  100
3.508  25.39  30
3.057  29.21  58
2.741  32.67  38
2.727  32.84  38
2.501  35.91  49
1.638  56.15  20

Structural model:
Unit cell a=8.620 b=8.620 c=8.620 alpha=60.40 beta=60.40 gamma=60.40
Positions (direct):
1 Cd 0.000 0.000 0.000
2 Cd 0.500 0.500 0.500
3 Si 0.020 0.462 0.613
4 Si 0.113 0.962 0.520
5 Si 0.462 0.613 0.020
6 Si 0.520 0.113 0.962
7 Si 0.613 0.020 0.462
8 Si 0.962 0.520 0.113
9 H 0.028 0.651 0.468
10 H 0.035 0.445 0.787
11 H 0.038 0.810 0.679
12 H 0.151 0.528 0.968
13 H 0.162 0.944 0.336
14 H 0.179 0.310 0.538
15 H 0.287 0.945 0.535
16 H 0.310 0.538 0.179
17 H 0.336 0.162 0.944
18 H 0.444 0.662 0.836
19 H 0.445 0.787 0.035
20 H 0.468 0.028 0.651
21 H 0.528 0.968 0.151
22 H 0.535 0.287 0.945
23 H 0.538 0.179 0.310
24 H 0.651 0.468 0.028
25 H 0.662 0.836 0.444
26 H 0.679 0.038 0.810
27 H 0.787 0.035 0.445
28 H 0.810 0.679 0.038
29 H 0.836 0.444 0.662
30 H 0.944 0.336 0.162
31 H 0.945 0.535 0.287
32 H 0.968 0.151 0.528